Entry 1:
Computed powder XRD pattern
Compound: Li5Ru
Radiation: Cu Kα X-rays
Structure: a DFT-relaxed cell (GGA-PBE, Alexandria)
Lines closer than 0.1° are merged.

Main lines, low angle first (10° ≤ 2θ ≤ 90°):
(hkl)  two_theta  d/Å  I (rel.)
0 0 1  12.90  6.864  100
2 0 0  17.24  5.142  52
2 0 -1  18.92  4.691  40
2 0 1  23.98  3.711  22
0 0 2  25.96  3.432  17
2 0 -2  27.57  3.235  15
1 1 0  36.58  2.456  15
1 1 -1  38.20  2.356  13
1 1 1  39.67  2.272  15
3 1 0  44.55  2.034  21

Crystal structure
```
data_Li5Ru
_cell_length_a 10.594
_cell_length_b 2.530
_cell_length_c 7.071
_cell_angle_alpha 90.00
_cell_angle_beta 103.87
_cell_angle_gamma 90.00
_symmetry_space_group_name_H-M 'C 1 m 1'
_symmetry_Int_Tables_number 8
_symmetry_space_group_name_Hall 'C -2y'
loop_
_atom_site_label
_atom_site_fract_x
_atom_site_fract_y
_atom_site_fract_z
Li1 0.000 0.000 0.000
Li2 0.073 0.000 0.665
Li3 0.167 0.500 0.320
Li4 0.318 0.000 0.697
Li5 0.394 0.000 0.296
Ru1 0.233 0.500 0.983
```

Entry 2:
Computed powder XRD pattern
Compound: SbTeOs
Radiation: Cu Kα X-rays
Structure: a DFT-relaxed cell (GGA-PBE, Alexandria)
Lines closer than 0.1° are merged.

Main lines, low angle first (10° ≤ 2θ ≤ 90°):
(hkl)  two_theta  d/Å  I (rel.)
2 2 0  20.95  4.240  62
2 0 2  28.28  3.155  90
2 2 2  31.44  2.845  72
2 4 0  31.62  2.830  59
2 4 2  39.57  2.278  36
4 2 2  42.52  2.126  100
2 6 0  44.41  2.040  25
0 0 4  47.37  1.919  33
0 6 2  47.75  1.905  54
6 2 0  51.37  1.779  24

Crystal structure
```
data_SbTeOs
_cell_length_a 11.084
_cell_length_b 13.165
_cell_length_c 7.677
_cell_angle_alpha 90.00
_cell_angle_beta 90.00
_cell_angle_gamma 90.00
_symmetry_space_group_name_H-M 'F d d 2'
_symmetry_Int_Tables_number 43
_symmetry_space_group_name_Hall 'F 2 -2d'
loop_
_atom_site_label
_atom_site_fract_x
_atom_site_fract_y
_atom_site_fract_z
Sb1 0.101 0.070 0.000
Te1 0.107 0.069 0.501
Os1 0.002 0.248 0.501
```

Entry 3:
Computed powder XRD pattern
Compound: BPO4
Radiation: Cu Kα X-rays
Structure: a DFT-relaxed cell (GGA-PBE, Alexandria)
Lines closer than 0.1° are merged.

Main lines, low angle first (10° ≤ 2θ ≤ 90°):
(hkl)  two_theta  d/Å  I (rel.)
1 0 0  22.58  3.938  18
1 0 1  24.27  3.667  13
0 1 2  28.80  3.100  100
1 1 0  39.64  2.274  11
0 1 4  42.67  2.119  10
2 0 2  49.73  1.833  5
1 1 4  54.41  1.686  11
1 2 2  65.39  1.427  9
1 2 4  74.02  1.281  5
2 0 6  74.33  1.276  6

Crystal structure
```
data_BPO4
_cell_length_a 4.5474
_cell_length_b 4.5474
_cell_length_c 10.0542
_cell_angle_alpha 90.00
_cell_angle_beta 90.00
_cell_angle_gamma 120.00
_symmetry_space_group_name_H-M 'P 31 2 1'
_symmetry_Int_Tables_number 152
_symmetry_space_group_name_Hall 'P 31 2"'
loop_
_atom_site_label
_atom_site_fract_x
_atom_site_fract_y
_atom_site_fract_z
B1 0.0000 0.4702 0.1667
P1 0.0000 0.4692 0.6667
O1 0.1312 0.7252 0.2740
O2 0.1439 0.7361 0.7787
```

Entry 4:
Computed powder XRD pattern
Compound: TbMgAgF6
Radiation: Cu Kα X-rays
Structure: a DFT-relaxed cell (GGA-PBE, Alexandria)
Lines closer than 0.1° are merged.

Main lines, low angle first (10° ≤ 2θ ≤ 90°):
(hkl)  two_theta  d/Å  I (rel.)
1 0 1  19.17  4.631  43
1 1 0  24.23  3.673  100
1 0 3  31.40  2.849  73
2 0 0  34.53  2.597  17
2 1 1  39.79  2.265  18
2 1 3  47.36  1.919  68
2 2 0  49.64  1.837  19
3 1 0  55.98  1.643  15
3 0 3  59.89  1.544  37
4 1 3  81.41  1.182  22

Crystal structure
```
data_TbMgAgF6
_cell_length_a 5.195
_cell_length_b 5.195
_cell_length_c 10.220
_cell_angle_alpha 90.00
_cell_angle_beta 90.00
_cell_angle_gamma 90.00
_symmetry_space_group_name_H-M 'P 42 n m'
_symmetry_Int_Tables_number 102
_symmetry_space_group_name_Hall 'P 4n -2n'
loop_
_atom_site_label
_atom_site_fract_x
_atom_site_fract_y
_atom_site_fract_z
Tb1 0.000 0.000 0.000
Mg1 0.000 0.000 0.661
Ag1 0.000 0.000 0.328
F1 0.173 0.173 0.819
F2 0.202 0.202 0.525
F3 0.227 0.227 0.141
```

Entry 5:
Computed powder XRD pattern
Compound: InPb2F7
Radiation: Cu Kα X-rays
Structure: a DFT-relaxed cell (GGA-PBE, Alexandria)
Lines closer than 0.1° are merged.

Main lines, low angle first (10° ≤ 2θ ≤ 90°):
(hkl)  two_theta  d/Å  I (rel.)
1 2 -1  23.42  3.798  28
0 2 2  25.18  3.536  29
1 0 -2  25.92  3.437  27
1 0 2  26.02  3.424  42
1 3 0  26.36  3.381  100
1 1 -2  26.93  3.311  79
1 3 1  28.39  3.144  39
2 0 0  31.18  2.868  41
0 1 4  42.86  2.110  33
1 4 -3  45.79  1.982  27

Crystal structure
```
data_InPb2F7
_cell_length_a 5.736
_cell_length_b 12.553
_cell_length_c 8.561
_cell_angle_alpha 90.00
_cell_angle_beta 90.23
_cell_angle_gamma 90.00
_symmetry_space_group_name_H-M 'P 1 21/c 1'
_symmetry_Int_Tables_number 14
_symmetry_space_group_name_Hall '-P 2ybc'
loop_
_atom_site_label
_atom_site_fract_x
_atom_site_fract_y
_atom_site_fract_z
In1 0.223 0.127 0.219
Pb1 0.264 0.060 0.674
Pb2 0.278 0.713 0.554
F1 0.016 0.102 0.426
F2 0.021 0.227 0.714
F3 0.111 0.573 0.374
F4 0.313 0.539 0.714
F5 0.325 0.135 0.979
F6 0.484 0.107 0.412
F7 0.488 0.243 0.700
```

Entry 6:
Computed powder XRD pattern
Compound: K2MgI3Br
Radiation: Cu Kα X-rays
Structure: a DFT-relaxed cell (GGA-PBE, Alexandria)
Lines closer than 0.1° are merged.

Main lines, low angle first (10° ≤ 2θ ≤ 90°):
(hkl)  two_theta  d/Å  I (rel.)
0 1 3  21.30  4.171  27
1 1 2  24.65  3.611  100
0 0 6  29.90  2.989  55
1 1 4  30.17  2.962  97
0 2 0  30.72  2.910  46
2 0 0  33.41  2.682  37
0 2 6  43.40  2.085  39
2 0 6  45.43  1.997  26
2 2 0  46.02  1.972  29
2 2 6  55.84  1.646  28

Crystal structure
```
data_K2MgI3Br
_cell_length_a 5.364
_cell_length_b 5.821
_cell_length_c 17.942
_cell_angle_alpha 90.00
_cell_angle_beta 90.00
_cell_angle_gamma 90.00
_symmetry_space_group_name_H-M 'I m m m'
_symmetry_Int_Tables_number 71
_symmetry_space_group_name_Hall '-I 2 2'
loop_
_atom_site_label
_atom_site_fract_x
_atom_site_fract_y
_atom_site_fract_z
K1 0.000 0.000 0.139
Mg1 0.000 0.000 0.500
I1 0.000 0.000 0.336
I2 0.000 0.500 0.500
Br1 0.000 0.500 0.000
```

Entry 7:
Computed powder XRD pattern
Compound: Cs2Na2US6
Radiation: Cu Kα X-rays
Structure: a DFT-relaxed cell (GGA-PBE, Alexandria)
Lines closer than 0.1° are merged.

Main lines, low angle first (10° ≤ 2θ ≤ 90°):
(hkl)  two_theta  d/Å  I (rel.)
1 1 0  14.60  6.069  100
0 2 1  18.10  4.901  73
0 0 2  21.95  4.049  25
1 1 -2  22.79  3.903  26
1 3 -1  25.81  3.452  26
2 0 -2  27.96  3.191  42
1 3 1  29.13  3.066  78
1 3 -3  38.56  2.335  27
1 5 0  38.76  2.323  24
3 3 -1  42.98  2.104  37

Crystal structure
```
data_Cs2Na2US6
_cell_length_a 7.356
_cell_length_b 12.315
_cell_length_c 8.540
_cell_angle_alpha 90.00
_cell_angle_beta 108.52
_cell_angle_gamma 90.00
_symmetry_space_group_name_H-M 'C 1 2/m 1'
_symmetry_Int_Tables_number 12
_symmetry_space_group_name_Hall '-C 2y'
loop_
_atom_site_label
_atom_site_fract_x
_atom_site_fract_y
_atom_site_fract_z
Cs1 0.000 0.178 0.000
Na1 0.000 0.339 0.500
U1 0.000 0.000 0.500
S1 0.209 0.145 0.683
S2 0.219 0.000 0.321
```

Entry 8:
Computed powder XRD pattern
Compound: Er3ScH8
Radiation: Cu Kα X-rays
Structure: a DFT-relaxed cell (GGA-PBE, Alexandria)
Lines closer than 0.1° are merged.

Main lines, low angle first (10° ≤ 2θ ≤ 90°):
(hkl)  two_theta  d/Å  I (rel.)
1 0 0  17.67  5.019  14
1 1 0  25.09  3.549  12
1 1 1  30.86  2.898  100
2 0 0  35.78  2.509  48
2 1 0  40.18  2.244  7
2 2 0  51.50  1.774  37
3 1 1  61.26  1.513  42
2 2 2  64.30  1.449  12
3 3 1  84.07  1.151  18
4 2 0  86.78  1.122  16

Crystal structure
```
data_Er3ScH8
_cell_length_a 5.019
_cell_length_b 5.019
_cell_length_c 5.019
_cell_angle_alpha 90.00
_cell_angle_beta 90.00
_cell_angle_gamma 90.00
_symmetry_space_group_name_H-M 'P m -3 m'
_symmetry_Int_Tables_number 221
_symmetry_space_group_name_Hall '-P 4 2 3'
loop_
_atom_site_label
_atom_site_fract_x
_atom_site_fract_y
_atom_site_fract_z
Er1 0.000 0.000 0.500
Sc1 0.500 0.500 0.500
H1 0.258 0.258 0.258
```